This entry pairs a crystal structure of Ac4YCu3O12 with its simulated XRD peak list. Radiation: a wavelength of 1.5418 Å. Structure: DFT lattice parameters and positions (GGA-PBE).
Peak positions follow from Bragg's law for the DFT cell and can differ from measured ones.

Structural model:
Lattice parameters (Å, degrees): 6.993 6.993 6.993 109.47 109.47 109.47
Fractional coordinates of all 20 atoms:
Ac 0.000 0.000 0.500
Ac 0.000 0.500 0.000
Ac 0.500 0.000 0.000
Ac 0.500 0.500 0.500
Y 0.000 0.000 0.000
Cu 0.000 0.500 0.500
Cu 0.500 0.000 0.500
Cu 0.500 0.500 0.000
O 0.000 0.266 0.266
O 0.000 0.734 0.734
O 0.250 0.500 0.750
O 0.250 0.750 0.500
O 0.266 0.000 0.266
O 0.266 0.266 0.000
O 0.500 0.250 0.750
O 0.500 0.750 0.250
O 0.734 0.000 0.734
O 0.734 0.734 0.000
O 0.750 0.250 0.500
O 0.750 0.500 0.250

Principal peaks in the range 10° ≤ 2θ ≤ 90°, by intensity:
- d = 2.855 Å, 31.33 deg, intensity 100
- d = 1.648 Å, 55.77 deg, intensity 40
- d = 2.019 Å, 44.90 deg, intensity 28
- d = 4.038 Å, 22.01 deg, intensity 24
- d = 2.331 Å, 38.62 deg, intensity 19
- d = 1.277 Å, 74.28 deg, intensity 18